1.
For Sm7HoEr3, a crystal structure in Alexandria, relaxed with GGA-PBE gives the calculated X-ray diffraction stick pattern in this record (copper Kα).
Kinematic intensities with the Lorentz-polarization factor, no thermal factor.

Atomic structure:
a = 7.038 Å, b = 5.597 Å, c = 9.959 Å
α = 90.00°, β = 110.55°, γ = 90.00°
Space group P2/m (No. 10)
Asymmetric unit:
Sm1 0.000 0.000 0.000
Sm2 0.147 0.500 0.292
Sm3 0.320 0.500 0.640
Sm4 0.417 0.000 0.830
Ho1 0.000 0.000 0.500
Er1 0.279 0.500 0.999
Er2 0.500 0.000 0.500

The 12 most intense peaks (5 to 70 degrees two-theta), by intensity:
hkl	2θ (°)	I_rel
2 1 0	31.52	100
0 1 3	32.96	36
0 2 0	31.98	35
2 0 -3	31.86	23
2 3 0	56.71	19
2 2 -3	45.77	17
4 2 -2	62.31	12
4 0 -2	51.98	10
0 3 3	57.64	10
2 1 4	58.33	8
0 1 2	24.86	8
1 0 3	36.04	7



2.
For KTl6In2, a crystal structure in Alexandria, relaxed with GGA-PBE gives the calculated X-ray diffraction stick pattern in this record (copper Kα).
Kinematic intensities with the Lorentz-polarization factor, no thermal factor.

Atomic structure:
a = 5.309 Å, b = 5.309 Å, c = 10.556 Å
α = 90.00°, β = 90.00°, γ = 90.00°
Space group P4/mmm (No. 123)
Asymmetric unit:
K1 0.000 0.000 0.000
Tl1 0.000 0.000 0.500
Tl2 0.000 0.500 0.294
Tl3 0.500 0.500 0.500
In1 0.500 0.500 0.138

The 12 most intense peaks (5 to 70 degrees two-theta), by intensity:
hkl	2θ (°)	I_rel
1 1 2	29.19	100
1 1 3	34.95	70
2 0 0	33.76	64
0 0 1	8.38	61
3 1 2	57.61	30
3 1 3	61.16	28
2 2 0	48.50	23
2 0 5	55.62	22
2 2 5	66.67	13
0 0 2	16.75	12
0 0 5	42.83	12
2 0 1	34.85	10



3.
For CsBa4I8, a crystal structure in Alexandria, relaxed with GGA-PBE gives the calculated X-ray diffraction stick pattern in this record (copper Kα).
Kinematic intensities with the Lorentz-polarization factor, no thermal factor.

Atomic structure:
a = 14.932 Å, b = 14.932 Å, c = 14.932 Å
α = 90.00°, β = 90.00°, γ = 90.00°
Space group F-43m (No. 216)
Asymmetric unit:
Cs1 0.000 0.000 0.000
Ba1 0.121 0.121 0.379
I1 0.112 0.112 0.612
I2 0.143 0.143 0.143

The 12 most intense peaks (5 to 70 degrees two-theta), by intensity:
hkl	2θ (°)	I_rel
4 4 0	33.96	100
4 0 0	23.84	96
1 1 1	10.26	53
5 1 1	31.12	52
3 1 1	19.72	35
8 4 4	60.78	25
8 4 0	55.01	24
4 4 4	41.92	23
9 5 1	64.56	22
2 2 2	20.61	21
5 5 1	43.27	18
9 3 1	59.01	16